(1)
Simulated X-ray powder pattern
Compound: PtPbSO
Radiation: λ = 1.5418 Å (Cu Kα)
Structure: DFT lattice parameters and positions (PBE)

Top 8 peaks for 2θ from 10° to 80°, most intense first:
(2 0 2), 2.910 Å, 2θ = 30.7°, rel. 100.0; (1 2 1), 3.465 Å, 2θ = 25.7°, rel. 61.3; (0 2 3), 2.575 Å, 2θ = 34.8°, rel. 40.0; (2 2 1), 2.677 Å, 2θ = 33.5°, rel. 35.7; (2 2 5), 1.585 Å, 2θ = 58.2°, rel. 29.8; (1 2 3), 2.429 Å, 2θ = 37.0°, rel. 28.2; (0 2 1), 3.936 Å, 2θ = 22.6°, rel. 24.2; (2 4 2), 1.733 Å, 2θ = 52.8°, rel. 21.7

Atomic structure:
```
PtPbSO
1.0
7.304 0.000 0.000
0.000 8.626 0.000
0.000 0.000 9.632
Pt Pb S O
8 8 8 8
Direct
0.004 0.158 0.249
0.004 0.342 0.749
0.496 0.658 0.249
0.496 0.842 0.749
0.504 0.158 0.251
0.504 0.342 0.751
0.996 0.658 0.251
0.996 0.842 0.751
0.216 0.092 0.531
0.216 0.408 0.031
0.284 0.592 0.531
0.284 0.908 0.031
0.716 0.092 0.969
0.716 0.408 0.469
0.784 0.592 0.969
0.784 0.908 0.469
0.053 0.092 0.838
0.053 0.408 0.338
0.447 0.592 0.838
0.447 0.908 0.338
0.553 0.092 0.662
0.553 0.408 0.162
0.947 0.592 0.662
0.947 0.908 0.162
0.245 0.657 0.149
0.245 0.843 0.649
0.255 0.157 0.149
0.255 0.343 0.649
0.745 0.657 0.351
0.745 0.843 0.851
0.755 0.157 0.351
0.755 0.343 0.851
```

***

(2)
Simulated X-ray powder pattern
Compound: PtPbSeO
Radiation: λ = 1.5418 Å (Cu Kα)
Structure: DFT lattice parameters and positions (PBE)

Top 8 peaks for 2θ from 10° to 80°, most intense first:
(1 0 2), 3.170 Å, 2θ = 28.2°, rel. 100.0; (1 1 1), 2.604 Å, 2θ = 34.4°, rel. 85.1; (1 1 4), 1.969 Å, 2θ = 46.1°, rel. 79.4; (0 0 2), 5.824 Å, 2θ = 15.2°, rel. 65.3; (2 0 0), 1.889 Å, 2θ = 48.2°, rel. 40.6; (2 1 2), 1.623 Å, 2θ = 56.7°, rel. 29.6; (0 0 3), 3.882 Å, 2θ = 22.9°, rel. 28.6; (0 0 5), 2.329 Å, 2θ = 38.7°, rel. 24.4

Atomic structure:
```
PtPbSeO
1.0
3.779 0.000 0.000
0.000 3.779 0.000
0.000 0.000 11.647
Pt Pb Se O
2 2 2 2
Direct
0.250 0.750 0.000
0.750 0.250 0.000
0.250 0.250 0.387
0.750 0.750 0.613
0.250 0.250 0.849
0.750 0.750 0.151
0.250 0.250 0.577
0.750 0.750 0.423
```